No. 1
# CaZnAsHO5
Simulated powder XRD pattern, Cu Ka. Input: DFT lattice parameters and positions (GGA-PBE).

Peak list (12 most intense, 2θ = 10–90°, most intense first)
2theta	Rel. int.
31.56	100
27.75	99
33.46	95
56.17	60
34.06	47
34.98	46
21.17	37
15.14	35
60.35	31
52.09	29
17.62	28
43.10	27

```
CaZnAsHO5
1.0
6.024 0.000 0.000
0.000 7.604 0.000
0.000 0.000 9.166
Ca Zn As H O
4 4 4 4 20
Cartesian
0.142 0.995 1.582
2.871 6.609 6.165
3.154 2.807 7.584
5.883 4.797 3.001
1.455 2.016 4.644
1.557 5.587 0.061
4.467 1.786 4.522
4.569 5.818 9.105
0.105 4.756 6.189
2.908 2.848 1.606
3.117 6.650 2.977
5.920 0.954 7.560
0.129 7.559 4.395
2.883 0.045 8.978
3.141 3.847 4.771
5.895 3.757 0.188
0.050 0.823 3.916
0.064 7.220 8.666
0.549 6.045 5.134
1.393 1.156 6.718
1.477 4.603 7.233
1.535 3.001 2.650
1.619 6.447 2.135
2.463 1.559 0.551
2.948 0.384 4.083
2.962 6.781 8.499
3.062 2.979 5.251
3.076 4.186 0.500
3.562 5.361 4.032
4.405 2.646 2.448
4.489 6.803 1.933
4.547 0.801 6.516
4.631 4.958 7.031
5.475 2.243 8.615
5.960 3.418 5.083
5.974 4.625 0.668
```

No. 2
# Ca3AsI3
Simulated powder XRD pattern, Cu Ka. Input: DFT lattice parameters and positions (GGA-PBE).

Peak list (12 most intense, 2θ = 10–90°, most intense first)
2theta	Rel. int.
28.49	100
40.73	73
24.61	63
48.17	33
66.77	30
50.46	25
74.14	22
64.87	14
79.49	12
58.97	11
26.62	10
88.22	7

```
Ca3AsI3
1.0
-6.265 6.265 6.265
6.265 -6.265 6.265
6.265 6.265 -6.265
Ca As I
12 4 12
Cartesian
1.756 1.566 -1.377
7.642 1.756 -1.566
1.566 -1.377 1.756
4.889 4.509 -1.566
4.509 1.566 1.377
-1.377 1.756 1.566
4.509 -1.566 4.889
1.566 1.377 4.509
1.377 4.509 1.566
1.756 -1.566 7.642
-1.566 7.642 1.756
-1.566 4.889 4.509
4.699 1.566 -1.566
1.566 1.566 1.566
1.566 -1.566 4.699
-1.566 4.699 1.566
7.832 1.527 1.606
7.832 -1.527 4.660
4.660 7.832 -1.527
4.738 1.606 4.699
4.699 4.738 1.606
1.606 7.832 1.527
7.792 4.660 4.699
1.606 4.699 4.738
1.527 1.606 7.832
4.699 7.792 4.660
-1.527 4.660 7.832
4.660 4.699 7.792
```

No. 3
# Ca3In2As4
Simulated powder XRD pattern, Cu Ka. Input: DFT lattice parameters and positions (GGA-PBE).

Peak list (12 most intense, 2θ = 10–90°, most intense first)
2theta	Rel. int.
33.40	100
34.63	47
25.92	45
42.79	41
40.44	41
36.71	40
20.60	39
30.52	28
23.78	27
25.54	24
16.67	22
50.98	18

```
Ca3In2As4
1.0
6.876 0.000 0.000
0.000 16.780 0.000
0.000 0.000 4.461
Ca In As
6 4 8
Cartesian
0.000 0.000 0.000
1.542 5.095 2.231
1.895 13.485 0.000
3.438 8.390 2.231
4.980 3.295 0.000
5.333 11.685 2.231
0.963 9.872 0.000
2.475 1.482 2.231
4.401 15.298 2.231
5.913 6.908 0.000
1.571 2.897 0.000
1.652 15.587 2.231
1.786 7.197 0.000
1.867 11.287 2.231
5.009 5.493 2.231
5.090 9.583 0.000
5.224 1.193 2.231
5.305 13.883 0.000
```